For Ga2CuSbO8, DFT lattice parameters and positions (GGA-PBE) gives the computed X-ray diffraction stick pattern in this record (a wavelength of 1.5418 Å).
No peak broadening, texture or thermal motion is included.

Structural model:
```
Ga2CuSbO8
1.0
-3.178 3.178 3.424
3.178 -3.178 3.424
3.178 3.178 -3.424
Ga Cu Sb O
2 1 1 8
Direct
0.000 0.000 0.000
0.750 0.250 0.500
0.250 0.750 0.500
0.500 0.500 0.000
0.139 0.440 0.699
0.211 0.019 0.808
0.211 0.402 0.192
0.560 0.259 0.699
0.560 0.861 0.301
0.598 0.789 0.808
0.741 0.440 0.301
0.981 0.789 0.192
```

The 6 most intense peaks (5 to 70 degrees two-theta), in order of rising 2θ:
Position (°2θ)	intensity
28.1	100.0
32.9	95.4
40.1	17.3
52.8	69.7
61.5	19.3
68.3	19.8